Entry 1:
ErMo6S8: calculated powder diffraction line list (a wavelength of 1.5418 Å), based on a cell relaxed with PBE.
Intensities are scaled so that the largest is 100.

Largest 8 diffraction maxima, sorted by position, 2θ from 10° to 90°:
d_spacing	I_rel
6.495	75
4.612	83
4.574	71
2.895	90
2.647	84
2.157	100
2.059	75
1.957	97

Lattice parameters (Å, degrees): 6.4955 6.4955 6.4955 89.52 89.52 89.52
Positions (direct):
Er1 0.0000 0.0000 0.0000
Mo1 0.2231 0.4197 0.5601
Mo2 0.4197 0.5601 0.2231
Mo3 0.4399 0.7769 0.5803
Mo4 0.5601 0.2231 0.4197
Mo5 0.5803 0.4399 0.7769
Mo6 0.7769 0.5803 0.4399
S1 0.1280 0.7518 0.3677
S2 0.2370 0.2370 0.2370
S3 0.2482 0.6323 0.8720
S4 0.3677 0.1280 0.7518
S5 0.6323 0.8720 0.2482
S6 0.7518 0.3677 0.1280
S7 0.7630 0.7630 0.7630
S8 0.8720 0.2482 0.6323



Entry 2:
LiAlSiO4: calculated powder diffraction line list (a wavelength of 1.5418 Å), based on a cell relaxed with PBE.
Intensities are scaled so that the largest is 100.

Largest 8 diffraction maxima, sorted by position, 2θ from 10° to 90°:
d_spacing	I_rel
4.588	8
3.580	100
1.944	22
1.659	10
1.467	11
1.324	4
1.259	4
1.242	6

Lattice parameters (Å, degrees): 5.2972 5.2972 11.4480 90.00 90.00 120.00
Positions (direct):
Li1 0.0000 0.0000 0.0000
Li2 0.0000 0.0000 0.3333
Li3 0.0000 0.0000 0.6667
Al1 0.0000 0.5000 0.1667
Al2 0.5000 0.0000 0.5000
Al3 0.5000 0.5000 0.8333
Si1 0.0000 0.5000 0.6667
Si2 0.5000 0.0000 0.0000
Si3 0.5000 0.5000 0.3333
O1 0.1943 0.4000 0.7444
O2 0.1943 0.7943 0.5889
O3 0.2057 0.4000 0.2556
O4 0.2057 0.8057 0.0778
O5 0.4000 0.1943 0.9222
O6 0.4000 0.2057 0.4111
O7 0.6000 0.7943 0.4111
O8 0.6000 0.8057 0.9222
O9 0.7943 0.1943 0.0778
O10 0.7943 0.6000 0.2556
O11 0.8057 0.2057 0.5889
O12 0.8057 0.6000 0.7444



Entry 3:
LiInI4: calculated powder diffraction line list (a wavelength of 1.5418 Å), based on a cell relaxed with PBE.
Intensities are scaled so that the largest is 100.

Largest 8 diffraction maxima, sorted by position, 2θ from 10° to 90°:
d_spacing	I_rel
3.940	30
3.896	41
3.610	42
3.462	100
3.393	51
2.266	46
2.071	25
2.025	24

Lattice parameters (Å, degrees): 8.3899 7.8805 15.4534 90.00 92.78 90.00
Positions (direct):
Li1 0.1478 0.0125 0.3757
Li2 0.1478 0.4875 0.8757
Li3 0.8522 0.5125 0.1243
Li4 0.8522 0.9875 0.6243
In1 0.3008 0.1746 0.5997
In2 0.3008 0.3254 0.0997
In3 0.6992 0.6746 0.9003
In4 0.6992 0.8254 0.4003
I1 0.0587 0.1759 0.1903
I2 0.0587 0.3241 0.6903
I3 0.1754 0.6478 0.0636
I4 0.1754 0.8522 0.5636
I5 0.3126 0.1841 0.9371
I6 0.3126 0.3159 0.4371
I7 0.4159 0.6804 0.8038
I8 0.4159 0.8196 0.3038
I9 0.5841 0.1804 0.6962
I10 0.5841 0.3196 0.1962
I11 0.6874 0.6841 0.5629
I12 0.6874 0.8159 0.0629
I13 0.8246 0.1478 0.4364
I14 0.8246 0.3522 0.9364
I15 0.9413 0.6759 0.3097
I16 0.9413 0.8241 0.8097



Entry 4:
LiNb2Te4Cl10O: calculated powder diffraction line list (a wavelength of 1.5418 Å), based on a cell relaxed with PBE.
Intensities are scaled so that the largest is 100.

Largest 8 diffraction maxima, sorted by position, 2θ from 10° to 90°:
d_spacing	I_rel
6.153	26
5.961	37
5.629	100
4.404	66
3.964	30
2.979	32
2.966	40
2.272	31

Lattice parameters (Å, degrees): 7.0426 8.8684 9.5787 97.07 90.26 105.09
Positions (direct):
Li1 0.0000 0.0000 0.0000
Nb1 0.4714 0.9994 0.8635
Nb2 0.5062 0.7205 0.1353
Te1 0.0746 0.1592 0.4886
Te2 0.1948 0.4437 0.6540
Te3 0.8081 0.2680 0.3455
Te4 0.9240 0.5519 0.5145
Cl1 0.1257 0.8520 0.8031
Cl2 0.1997 0.5605 0.0595
Cl3 0.3322 0.1621 0.0382
Cl4 0.3904 0.8848 0.3076
Cl5 0.4429 0.1822 0.6920
Cl6 0.5500 0.5578 0.3107
Cl7 0.5784 0.8424 0.6818
Cl8 0.6840 0.5940 0.9742
Cl9 0.7973 0.1664 0.9258
Cl10 0.8511 0.9101 0.2098
O1 0.4949 0.8671 0.9977



Entry 5:
Ba4Ce2BiO12: calculated powder diffraction line list (a wavelength of 1.5418 Å), based on a cell relaxed with PBE.
Intensities are scaled so that the largest is 100.

Largest 8 diffraction maxima, sorted by position, 2θ from 10° to 90°:
d_spacing	I_rel
3.156	100
3.144	48
3.104	48
3.087	48
3.076	43
2.212	51
2.195	28
1.792	26

Lattice parameters (Å, degrees): 6.1741 6.2908 8.8548 91.72 90.44 90.40
Positions (direct):
Ba1 0.0120 0.0157 0.2736
Ba2 0.4759 0.5074 0.7211
Ba3 0.5241 0.4926 0.2789
Ba4 0.9880 0.9843 0.7264
Ce1 0.0000 0.5000 0.0000
Ce2 0.5000 0.0000 0.0000
Bi1 0.5000 0.0000 0.5000
O1 0.0082 0.4203 0.7792
O2 0.2358 0.7711 0.9471
O3 0.2498 0.7774 0.5247
O4 0.2715 0.2636 0.0511
O5 0.2773 0.2473 0.4741
O6 0.4945 0.9321 0.2525
O7 0.5055 0.0679 0.7475
O8 0.7227 0.7527 0.5259
O9 0.7285 0.7364 0.9489
O10 0.7502 0.2226 0.4753
O11 0.7642 0.2289 0.0529
O12 0.9918 0.5797 0.2208



Entry 6:
SbKrF7: calculated powder diffraction line list (a wavelength of 1.5418 Å), based on a cell relaxed with PBE.
Intensities are scaled so that the largest is 100.

Largest 8 diffraction maxima, sorted by position, 2θ from 10° to 90°:
d_spacing	I_rel
4.609	21
4.337	28
4.103	69
3.867	100
3.829	88
3.737	31
2.849	20
2.244	22

Lattice parameters (Å, degrees): 5.4954 10.7229 11.2116 90.00 95.33 90.00
Positions (direct):
Sb1 0.0966 0.0111 0.2701
Sb2 0.0966 0.4889 0.7701
Sb3 0.9034 0.5111 0.2299
Sb4 0.9034 0.9889 0.7299
Kr1 0.4752 0.7292 0.9701
Kr2 0.4752 0.7708 0.4701
Kr3 0.5248 0.2292 0.5299
Kr4 0.5248 0.2708 0.0299
F1 0.0014 0.6291 0.1165
F2 0.0014 0.8709 0.6165
F3 0.0893 0.5830 0.3635
F4 0.0893 0.9170 0.8635
F5 0.1555 0.0989 0.6902
F6 0.1555 0.4011 0.1902
F7 0.2338 0.6191 0.6831
F8 0.2338 0.8809 0.1831
F9 0.3032 0.5594 0.9206
F10 0.3032 0.9406 0.4206
F11 0.3636 0.1265 0.9797
F12 0.3636 0.3735 0.4797
F13 0.3763 0.1128 0.2529
F14 0.3763 0.3872 0.7529
F15 0.6237 0.6128 0.2471
F16 0.6237 0.8872 0.7471
F17 0.6364 0.6265 0.5203
F18 0.6364 0.8735 0.0203
F19 0.6968 0.0594 0.5794
F20 0.6968 0.4406 0.0794
F21 0.7662 0.1191 0.8169
F22 0.7662 0.3809 0.3169
F23 0.8445 0.5989 0.8098
F24 0.8445 0.9011 0.3098
F25 0.9107 0.0830 0.1365
F26 0.9107 0.4170 0.6365
F27 0.9986 0.1291 0.3835
F28 0.9986 0.3709 0.8835



Entry 7:
Rb3Sb2Br9: calculated powder diffraction line list (a wavelength of 1.5418 Å), based on a cell relaxed with PBE.
Intensities are scaled so that the largest is 100.

Largest 8 diffraction maxima, sorted by position, 2θ from 10° to 90°:
d_spacing	I_rel
5.647	33
4.017	21
3.292	29
3.263	86
2.854	61
2.821	100
2.012	32
2.001	42

Lattice parameters (Å, degrees): 14.0004 7.9456 24.0442 90.00 125.39 90.00
Positions (direct):
Rb1 0.2423 0.0157 0.2651
Rb2 0.2423 0.4843 0.7651
Rb3 0.2525 0.5023 0.4254
Rb4 0.2525 0.9977 0.9254
Rb5 0.2559 0.0129 0.5964
Rb6 0.2559 0.4871 0.0964
Rb7 0.7441 0.5129 0.9036
Rb8 0.7441 0.9871 0.4036
Rb9 0.7475 0.0023 0.0746
Rb10 0.7475 0.4977 0.5746
Rb11 0.7577 0.5157 0.2349
Rb12 0.7577 0.9843 0.7349
Sb1 0.0079 0.0006 0.3446
Sb2 0.0079 0.4994 0.8446
Sb3 0.4904 0.5052 0.6571
Sb4 0.4904 0.9948 0.1571
Sb5 0.5096 0.0052 0.8429
Sb6 0.5096 0.4948 0.3429
Sb7 0.9921 0.5006 0.1554
Sb8 0.9921 0.9994 0.6554
Br1 0.0211 0.2068 0.4371
Br2 0.0211 0.2932 0.9371
Br3 0.0234 0.2238 0.1020
Br4 0.0234 0.2762 0.6020
Br5 0.0304 0.2018 0.7751
Br6 0.0304 0.2982 0.2751
Br7 0.2445 0.5402 0.9209
Br8 0.2445 0.9598 0.4209
Br9 0.2503 0.5647 0.2475
Br10 0.2503 0.9353 0.7475
Br11 0.2559 0.5508 0.5787
Br12 0.2559 0.9492 0.0787
Br13 0.4642 0.1911 0.2552
Br14 0.4642 0.3089 0.7552
Br15 0.4727 0.2295 0.5854
Br16 0.4727 0.2705 0.0854
Br17 0.4804 0.2095 0.9220
Br18 0.4804 0.2905 0.4220
Br19 0.5196 0.7095 0.5780
Br20 0.5196 0.7905 0.0780
Br21 0.5273 0.7295 0.9146
Br22 0.5273 0.7705 0.4146
Br23 0.5358 0.6911 0.2448
Br24 0.5358 0.8089 0.7448
Br25 0.7441 0.0508 0.9213
Br26 0.7441 0.4492 0.4213
Br27 0.7497 0.0647 0.2525
Br28 0.7497 0.4353 0.7525
Br29 0.7555 0.0402 0.5791
Br30 0.7555 0.4598 0.0791
Br31 0.9696 0.7018 0.7249
Br32 0.9696 0.7982 0.2249
Br33 0.9766 0.7238 0.3980
Br34 0.9766 0.7762 0.8980
Br35 0.9789 0.7068 0.0629
Br36 0.9789 0.7932 0.5629



Entry 8:
Cs2AlAuF6: calculated powder diffraction line list (a wavelength of 1.5418 Å), based on a cell relaxed with PBE.
Intensities are scaled so that the largest is 100.

Largest 8 diffraction maxima, sorted by position, 2θ from 10° to 90°:
d_spacing	I_rel
5.149	18
3.153	100
2.689	20
2.230	31
1.820	39
1.577	19
1.410	21
1.192	23

Lattice parameters (Å, degrees): 6.3063 6.3063 6.3063 60.00 60.00 60.00
Positions (direct):
Cs1 0.2500 0.2500 0.2500
Cs2 0.7500 0.7500 0.7500
Al1 0.0000 0.0000 0.0000
Au1 0.5000 0.5000 0.5000
F1 0.2079 0.2079 0.7921
F2 0.2079 0.7921 0.2079
F3 0.2079 0.7921 0.7921
F4 0.7921 0.2079 0.2079
F5 0.7921 0.2079 0.7921
F6 0.7921 0.7921 0.2079